For MnIn2BiO6, a crystal structure in Alexandria, relaxed with PBE+U gives the simulated powder X-ray diffraction pattern in this record (Cu Kα).

Main lines, in order of rising 2θ (2θ from 10° to 90°):
22.17°, I = 33, hkl 1 1 1
29.51°, I = 100, hkl 1 0 1
30.49°, I = 91, hkl 1 1 -1
30.76°, I = 83, hkl 0 1 2
31.19°, I = 93, hkl -1 1 1
32.06°, I = 83, hkl 1 2 1
32.34°, I = 80, hkl 2 1 0
43.06°, I = 41, hkl 0 2 0
45.18°, I = 34, hkl 2 2 2
45.29°, I = 35, hkl 2 0 -2
56.00°, I = 34, hkl 2 3 0
56.45°, I = 44, hkl 3 0 -1

Atomic structure:
```
data_MnIn2BiO6
_chemical_formula_sum 'Mn1 In2 Bi1 O6'
_cell_length_a 5.5407
_cell_length_b 5.5905
_cell_length_c 5.8300
_cell_angle_alpha 62.12
_cell_angle_beta 89.70
_cell_angle_gamma 62.12
_symmetry_space_group_name_H-M 'P 1'
_symmetry_Int_Tables_number 1
loop_
_symmetry_equiv_pos_as_xyz
'x,y,z'
loop_
_atom_site_label
_atom_site_type_symbol
_atom_site_fract_x
_atom_site_fract_y
_atom_site_fract_z
Mn1 Mn 0.0000 0.0000 0.0000
In1 In 0.2020 0.5837 0.6303
In2 In 0.6988 0.5943 0.1033
Bi1 Bi 0.4796 0.0343 0.4570
O1 O 0.0641 0.1154 0.2640
O2 O 0.2667 0.1118 0.8019
O3 O 0.3967 0.5305 0.3076
O4 O 0.5916 0.5062 0.8022
O5 O 0.8303 0.7953 0.2751
O6 O 0.9045 0.8231 0.8035
```